1.
For YTcRh2, the PBE geometry in Alexandria gives the theoretical powder X-ray diffraction pattern in this record (a wavelength of 1.5418 Å).

```
YTcRh2
1.0
4.6889 -1.4862 0.0000
4.6889 1.4862 0.0000
-1.0061 0.0000 4.9301
Y Tc Rh
1 1 2
direct
0.0000 0.0000 0.0000
0.7664 0.7664 0.3434
0.2430 0.2430 0.7682
0.5007 0.5007 0.4878
```

Largest 10 diffraction maxima, in order of falling intensity, 2θ from 5° to 70°:
two_theta  Rel. int.
37.63  100
43.84  69
39.22  47
37.81  45
45.08  22
65.66  16
63.72  13
62.50  13
64.95  10
17.99  8

2.
For Ca3LaPd8, the PBE geometry in Alexandria gives the theoretical powder X-ray diffraction pattern in this record (a wavelength of 1.5418 Å).

```
Ca3LaPd8
1.0
2.7547 1.5904 8.9527
-2.7547 1.5904 8.9527
0.0000 -3.1808 8.9527
Ca La Pd
3 1 8
direct
0.0000 0.0000 0.0000
0.1229 0.1229 0.1229
0.4929 0.4929 0.4929
0.6206 0.6206 0.6206
0.0583 0.0583 0.5601
0.0583 0.5589 0.5589
0.0583 0.5601 0.0583
0.3091 0.3091 0.3091
0.5589 0.0583 0.5589
0.5589 0.5589 0.0583
0.5601 0.0583 0.0583
0.8087 0.8087 0.8087
```

Largest 10 diffraction maxima, in order of falling intensity, 2θ from 5° to 70°:
two_theta  Rel. int.
38.35  100
40.11  58
19.77  41
38.46  33
61.95  31
68.07  19
68.33  19
40.30  19
46.71  18
32.50  9